This entry pairs a crystal structure of LiGa4Ni2 with its calculated powder diffractogram. Radiation: Cu Kα X-rays. Structure: a cell relaxed with PBE.
No peak broadening, texture or thermal motion is included.

Peak list (10 most intense, 2θ = 10–90°, most intense first)
2θ = 43.9°, intensity 100
2θ = 44.2°, intensity 89
2θ = 30.8°, intensity 35
2θ = 26.5°, intensity 31
2θ = 64.1°, intensity 28
2θ = 81.0°, intensity 28
2θ = 80.8°, intensity 15
2θ = 26.7°, intensity 15
2θ = 52.2°, intensity 13
2θ = 81.5°, intensity 10

Structure:
a = 7.084 Å, b = 7.084 Å, c = 7.084 Å
α = 33.83°, β = 33.83°, γ = 33.83°
Positions (direct):
Li 0.000 0.000 0.000
Ga 0.130 0.130 0.130
Ga 0.384 0.384 0.384
Ga 0.616 0.616 0.616
Ga 0.870 0.870 0.870
Ni 0.253 0.253 0.253
Ni 0.747 0.747 0.747



This entry pairs a crystal structure of U4Mn7As6 with its calculated powder diffractogram. Radiation: Cu Kα X-rays. Structure: a cell relaxed with PBE.
No peak broadening, texture or thermal motion is included.

Peak list (10 most intense, 2θ = 10–90°, most intense first)
2θ = 38.5°, intensity 100
2θ = 31.3°, intensity 75
2θ = 44.8°, intensity 55
2θ = 22.0°, intensity 37
2θ = 50.4°, intensity 33
2θ = 65.2°, intensity 29
2θ = 78.4°, intensity 28
2θ = 74.1°, intensity 23
2θ = 69.7°, intensity 21
2θ = 55.6°, intensity 19

Structure:
a = 7.010 Å, b = 7.010 Å, c = 7.010 Å
α = 109.47°, β = 109.47°, γ = 109.47°
Positions (direct):
U 0.000 0.000 0.500
U 0.000 0.500 0.000
U 0.500 0.000 0.000
U 0.500 0.500 0.500
Mn 0.000 0.000 0.000
Mn 0.250 0.500 0.750
Mn 0.250 0.750 0.500
Mn 0.500 0.250 0.750
Mn 0.500 0.750 0.250
Mn 0.750 0.250 0.500
Mn 0.750 0.500 0.250
As 0.000 0.318 0.318
As 0.000 0.682 0.682
As 0.318 0.000 0.318
As 0.318 0.318 0.000
As 0.682 0.000 0.682
As 0.682 0.682 0.000



This entry pairs a crystal structure of LiY6Ni2 with its calculated powder diffractogram. Radiation: Cu Kα X-rays. Structure: a cell relaxed with PBE.
No peak broadening, texture or thermal motion is included.

Peak list (10 most intense, 2θ = 10–90°, most intense first)
2θ = 31.9°, intensity 100
2θ = 35.0°, intensity 88
2θ = 34.0°, intensity 77
2θ = 34.4°, intensity 71
2θ = 13.2°, intensity 65
2θ = 35.3°, intensity 43
2θ = 40.2°, intensity 37
2θ = 59.9°, intensity 37
2θ = 38.3°, intensity 29
2θ = 39.3°, intensity 29

Structure:
a = 8.424 Å, b = 8.424 Å, c = 8.424 Å
α = 112.25°, β = 110.12°, γ = 106.11°
Positions (direct):
Li 0.000 0.000 0.000
Li 0.500 0.500 0.000
Y 0.032 0.229 0.803
Y 0.181 0.289 0.471
Y 0.181 0.711 0.892
Y 0.321 0.012 0.691
Y 0.321 0.630 0.309
Y 0.426 0.229 0.197
Y 0.574 0.771 0.803
Y 0.679 0.370 0.691
Y 0.679 0.988 0.309
Y 0.819 0.289 0.108
Y 0.819 0.711 0.529
Y 0.968 0.771 0.197
Ni 0.120 0.620 0.500
Ni 0.349 0.000 0.349
Ni 0.651 0.000 0.651
Ni 0.880 0.380 0.500